Diffraction record for K3Y3CrO8. The powder X-ray diffraction pattern is simulated, not measured: it uses a crystal structure in Alexandria, relaxed with GGA+U and Cu Kα X-rays.
No peak broadening, texture or thermal motion is included.

Cell: 11.7079 6.6916 7.3711 Å, 90.00 121.51 90.00°
Space group C2/m (No. 12)
One atom of each set of equivalent atoms:
K 0.0000 0.0000 0.0000 (multiplicity 2)
K 0.2500 0.2500 0.0000 (multiplicity 4)
Y 0.0000 0.5000 0.5000 (multiplicity 2)
Y 0.2500 0.2500 0.5000 (multiplicity 4)
Cr 0.0000 0.0000 0.5000 (multiplicity 2)
O 0.0171 0.2191 0.3313 (multiplicity 8)
O 0.2100 0.0000 0.6734 (multiplicity 4)
O 0.2264 0.5000 0.6842 (multiplicity 4)

The 10 most intense peaks (5° ≤ 2θ ≤ 70°), sorted by position:
| 2θ (°) | d/Å | I_rel | h k l |
| --- | --- | --- | --- |
| 14.09 | 6.284 | 1000 | 0 0 1 |
| 28.41 | 3.142 | 353 | 0 0 2 |
| 31.17 | 2.869 | 132 | 2 2 -1 |
| 32.09 | 2.789 | 196 | 4 0 -2 |
| 32.21 | 2.779 | 387 | 2 2 0 |
| 35.99 | 2.495 | 412 | 4 0 0 |
| 36.40 | 2.469 | 783 | 2 2 -2 |
| 46.05 | 1.971 | 128 | 2 2 -3 |
| 49.73 | 1.834 | 235 | 2 2 2 |
| 54.43 | 1.686 | 230 | 6 2 -2 |